Entry 1:
The following is a computed powder XRD pattern of Dy5Al. It was derived from a cell relaxed with GGA-PBE, using Cu Kα (λ = 1.5418 Å).
Peak positions follow from Bragg's law for the DFT cell and can differ from measured ones.

```
data_Dy5Al
_symmetry_space_group_name_H-M 'P 6/m m m'
_symmetry_Int_Tables_number 191
_symmetry_space_group_name_Hall '-P 6 2'
_cell_length_a 6.2700
_cell_length_b 6.2700
_cell_length_c 5.7114
_cell_angle_alpha 90.00
_cell_angle_beta 90.00
_cell_angle_gamma 120.00
loop_
_atom_site_label
_atom_site_fract_x
_atom_site_fract_y
_atom_site_fract_z
_atom_site_occupancy
Dy1 0.0000 0.5000 0.0000 1
Dy2 0.3333 0.6667 0.5000 1
Al1 0.0000 0.0000 0.5000 1
```

Most intense lines, 5° ≤ 2θ ≤ 70°, by angle:
16.32°, I 83, (1 0 0); 31.32°, I 46, (0 0 2); 32.58°, I 94, (1 1 1); 32.99°, I 21, (2 0 0); 35.52°, I 25, (1 0 2); 36.65°, I 100, (2 0 1); 53.08°, I 24, (3 0 1); 58.92°, I 23, (2 2 0); 59.28°, I 25, (2 0 3); 68.26°, I 30, (2 2 2)

=====

Entry 2:
The following is a computed powder XRD pattern of Dy2Er3Al3. It was derived from a cell relaxed with GGA-PBE, using Cu Kα (λ = 1.5418 Å).
Peak positions follow from Bragg's law for the DFT cell and can differ from measured ones.

```
data_Dy2Er3Al3
_symmetry_space_group_name_H-M 'P -6 m 2'
_symmetry_Int_Tables_number 187
_symmetry_space_group_name_Hall 'P -6 2'
_cell_length_a 6.8300
_cell_length_b 6.8300
_cell_length_c 5.1106
_cell_angle_alpha 90.00
_cell_angle_beta 90.00
_cell_angle_gamma 120.00
loop_
_atom_site_label
_atom_site_fract_x
_atom_site_fract_y
_atom_site_fract_z
_atom_site_occupancy
Dy1 0.0000 0.0000 0.0000 1
Dy2 0.3333 0.6667 0.5000 1
Er1 0.3481 0.1740 0.5000 1
Al1 0.5233 0.0466 0.0000 1
```

Most intense lines, 5° ≤ 2θ ≤ 70°, by angle:
14.98°, I 7, (1 0 0); 17.35°, I 21, (0 0 1); 23.00°, I 9, (1 0 1); 30.22°, I 31, (2 0 0); 35.07°, I 100, (0 0 2); 46.99°, I 19, (2 0 2); 53.68°, I 15, (2 2 0); 56.85°, I 6, (2 2 1); 62.97°, I 15, (2 0 3); 65.76°, I 28, (2 2 2)